This entry pairs a crystal structure of Na2DyHoO4 with its theoretical X-ray diffraction stick pattern. Radiation: CuKα. Structure: DFT lattice parameters and positions (PBE).
Neutral-atom scattering factors, no anomalous dispersion.

Main lines, by angle (5° ≤ 2θ ≤ 70°):
2theta, I/Imax
6.93, 274
13.89, 1000
23.34, 261
31.20, 515
34.30, 701
35.33, 381
45.47, 215
57.53, 175

Unit cell a=13.1739 b=13.1739 c=13.1739 alpha=154.84 beta=29.12 gamma=165.58
Element x y z (fractional)
Na 0.0558 0.0000 0.0558
Na 0.2714 0.0009 0.2706
Na 0.7303 0.0009 0.7294
Na 0.9442 0.0000 0.9442
Dy 0.3423 0.5020 0.8403
Dy 0.6617 0.5020 0.1597
Ho 0.1179 0.5017 0.6162
Ho 0.8856 0.5017 0.3838
O 0.1879 0.2491 0.4333
O 0.1879 0.7546 0.9388
O 0.4109 0.2508 0.6586
O 0.4109 0.7524 0.1602
O 0.5922 0.2508 0.8398
O 0.5922 0.7524 0.3414
O 0.8158 0.2491 0.0612
O 0.8158 0.7546 0.5667